# 1
Diffraction record for ZnAgN. The powder diffraction line list is calculated, not measured: it uses a structure optimized by DFT (GGA-PBE) and λ = 1.5418 Å (Cu Kα).
Kinematic intensities with the Lorentz-polarization factor, no thermal factor.

Main lines, sorted by position (2θ = 5–70°):
- (0 0 1), 20.33 deg, intensity 2
- (1 0 0), 29.74 deg, intensity 47
- (1 0 1), 36.29 deg, intensity 100
- (0 0 2), 41.33 deg, intensity 20
- (1 0 2), 51.74 deg, intensity 18
- (1 1 0), 52.77 deg, intensity 28
- (1 1 1), 57.13 deg, intensity 1
- (2 0 0), 61.75 deg, intensity 5
- (2 0 1), 65.73 deg, intensity 17
- (1 1 2), 69.15 deg, intensity 24

```
data_ZnAgN
_chemical_formula_sum 'Zn1 Ag1 N1'
_space_group_name_H-M_alt 'P -6 m 2'
_space_group_IT_number 187
_space_group_name_Hall 'P -6 2'
_cell_length_a 3.4693
_cell_length_b 3.4693
_cell_length_c 4.3692
_cell_angle_alpha 90.00
_cell_angle_beta 90.00
_cell_angle_gamma 120.00
loop_
_atom_site_label
_atom_site_fract_x
_atom_site_fract_y
_atom_site_fract_z
Zn1 0.0000 0.0000 0.0000
Ag1 0.6667 0.3333 0.5000
N1 0.6667 0.3333 0.0000
```

---

# 2
Diffraction record for ZnAgN. The powder diffraction line list is calculated, not measured: it uses a structure optimized by DFT (GGA-PBE) and λ = 1.5418 Å (Cu Kα).
Kinematic intensities with the Lorentz-polarization factor, no thermal factor.

Main lines, sorted by position (2θ = 5–70°):
- (0 0 2), 27.54 deg, intensity 42
- (0 2 1), 28.66 deg, intensity 25
- (1 1 2), 32.17 deg, intensity 21
- (2 2 0), 32.95 deg, intensity 20
- (2 0 2), 34.92 deg, intensity 30
- (2 2 1), 35.83 deg, intensity 100
- (4 0 0), 42.85 deg, intensity 31
- (0 2 3), 49.39 deg, intensity 23
- (2 0 4), 61.31 deg, intensity 18
- (4 2 3), 67.42 deg, intensity 20

```
data_ZnAgN
_chemical_formula_sum 'Zn8 Ag8 N8'
_space_group_name_H-M_alt 'C m c e'
_space_group_IT_number 64
_space_group_name_Hall '-C 2ac 2'
_cell_length_a 8.4425
_cell_length_b 7.1059
_cell_length_c 6.4778
_cell_angle_alpha 90.00
_cell_angle_beta 90.00
_cell_angle_gamma 90.00
loop_
_atom_site_label
_atom_site_fract_x
_atom_site_fract_y
_atom_site_fract_z
Zn1 0.0000 0.1658 0.1280
Ag1 0.2500 0.0937 0.7500
N1 0.0000 0.1238 0.8222
```

---

What did the first record say?
Diffraction record for ZnAgN. The powder diffraction line list is calculated, not measured: it uses a structure optimized by DFT (GGA-PBE) and λ = 1.5418 Å (Cu Kα).
Kinematic intensities with the Lorentz-polarization factor, no thermal factor.

Main lines, sorted by position (2θ = 5–70°):
- (0 0 1), 20.33 deg, intensity 2
- (1 0 0), 29.74 deg, intensity 47
- (1 0 1), 36.29 deg, intensity 100
- (0 0 2), 41.33 deg, intensity 20
- (1 0 2), 51.74 deg, intensity 18
- (1 1 0), 52.77 deg, intensity 28
- (1 1 1), 57.13 deg, intensity 1
- (2 0 0), 61.75 deg, intensity 5
- (2 0 1), 65.73 deg, intensity 17
- (1 1 2), 69.15 deg, intensity 24

```
data_ZnAgN
_chemical_formula_sum 'Zn1 Ag1 N1'
_space_group_name_H-M_alt 'P -6 m 2'
_space_group_IT_number 187
_space_group_name_Hall 'P -6 2'
_cell_length_a 3.4693
_cell_length_b 3.4693
_cell_length_c 4.3692
_cell_angle_alpha 90.00
_cell_angle_beta 90.00
_cell_angle_gamma 120.00
loop_
_atom_site_label
_atom_site_fract_x
_atom_site_fract_y
_atom_site_fract_z
Zn1 0.0000 0.0000 0.0000
Ag1 0.6667 0.3333 0.5000
N1 0.6667 0.3333 0.0000
```